The following is a theoretical XRD peak list of Pm6DyZn2. It was derived from a PBE-relaxed structure, using CuKα.
Intensities are scaled so that the largest is 100.

Peak list (8 most intense, 10 to 90 degrees two-theta, sorted by position)
| two_theta | I/Imax |
| --- | --- |
| 31.27 | 24.1 |
| 31.98 | 23.4 |
| 32.96 | 100.0 |
| 45.34 | 15.6 |
| 49.21 | 9.5 |
| 56.74 | 10.0 |
| 57.63 | 12.5 |
| 59.47 | 13.3 |

Atomic structure:
Cell: 6.6276 6.6276 12.0157 Å, 108.79 108.79 32.44°
Atoms (fractional coordinates):
Pm 0.0267 0.0267 0.3268
Pm 0.3105 0.3105 0.1242
Pm 0.3117 0.3117 0.4085
Pm 0.6883 0.6883 0.5915
Pm 0.6895 0.6895 0.8758
Pm 0.9733 0.9733 0.6732
Dy 0.0000 0.0000 0.0000
Zn 0.3559 0.3559 0.8038
Zn 0.6441 0.6441 0.1962

The following is a theoretical XRD peak list of RbLi2NbF8. It was derived from a PBE-relaxed structure, using CuKα.
Intensities are scaled so that the largest is 100.

Peak list (8 most intense, 10 to 90 degrees two-theta, sorted by position)
| two_theta | I/Imax |
| --- | --- |
| 21.36 | 100.0 |
| 22.27 | 36.9 |
| 24.98 | 96.6 |
| 35.04 | 44.8 |
| 36.20 | 25.0 |
| 41.92 | 70.7 |
| 51.27 | 18.8 |
| 58.64 | 33.0 |

Atomic structure:
Cell: 8.5149 8.5149 8.5149 Å, 35.00 35.00 35.00°
Atoms (fractional coordinates):
Rb 0.0000 0.0000 0.0000
Li 0.2662 0.2662 0.2662
Li 0.7338 0.7338 0.7338
Nb 0.5000 0.5000 0.5000
F 0.1306 0.4994 0.7188
F 0.2812 0.5006 0.8694
F 0.3383 0.3383 0.3383
F 0.4994 0.7188 0.1306
F 0.5006 0.8694 0.2812
F 0.6617 0.6617 0.6617
F 0.7188 0.1306 0.4994
F 0.8694 0.2812 0.5006

The following is a theoretical XRD peak list of MnReTcSe. It was derived from a PBE-relaxed structure, using CuKα.
Intensities are scaled so that the largest is 100.

Peak list (8 most intense, 10 to 90 degrees two-theta, sorted by position)
| two_theta | I/Imax |
| --- | --- |
| 12.34 | 53.9 |
| 35.67 | 41.6 |
| 39.75 | 66.3 |
| 43.96 | 100.0 |
| 50.90 | 14.6 |
| 75.07 | 27.3 |
| 76.94 | 18.6 |
| 80.52 | 14.7 |

Atomic structure:
Cell: 2.9257 7.3263 7.3263 Å, 23.30 90.00 90.00°
Atoms (fractional coordinates):
Mn 0.0000 0.0000 0.0000
Re 0.5000 0.6144 0.6144
Tc 0.0000 0.2368 0.2368
Se 0.5000 0.8504 0.8504

The following is a theoretical XRD peak list of Pm2Pr4Sm3. It was derived from a PBE-relaxed structure, using CuKα.
Intensities are scaled so that the largest is 100.

Peak list (8 most intense, 10 to 90 degrees two-theta, sorted by position)
| two_theta | I/Imax |
| --- | --- |
| 29.46 | 40.3 |
| 30.29 | 56.9 |
| 31.04 | 79.7 |
| 31.22 | 100.0 |
| 32.61 | 20.1 |
| 42.77 | 29.3 |
| 53.49 | 19.2 |
| 54.40 | 20.9 |

Atomic structure:
Cell: 6.5715 6.5715 9.3184 Å, 101.23 101.23 53.36°
Atoms (fractional coordinates):
Pm 0.0654 0.0654 0.2969
Pm 0.9346 0.9346 0.7031
Pr 0.1819 0.1819 0.9567
Pr 0.2686 0.2686 0.6284
Pr 0.7314 0.7314 0.3716
Pr 0.8181 0.8181 0.0433
Sm 0.3897 0.3897 0.3176
Sm 0.5000 0.5000 0.0000
Sm 0.6103 0.6103 0.6824

The following is a theoretical XRD peak list of HfTa2Pd9. It was derived from a PBE-relaxed structure, using CuKα.
Intensities are scaled so that the largest is 100.

Peak list (8 most intense, 10 to 90 degrees two-theta, sorted by position)
| two_theta | I/Imax |
| --- | --- |
| 22.29 | 5.7 |
| 39.13 | 100.0 |
| 45.41 | 16.3 |
| 45.54 | 32.4 |
| 66.30 | 31.2 |
| 79.64 | 12.3 |
| 79.82 | 24.6 |
| 84.09 | 10.8 |

Atomic structure:
Cell: 3.9842 3.9842 11.9841 Å, 90.00 90.00 90.00°
Atoms (fractional coordinates):
Hf 0.0000 0.0000 0.0000
Ta 0.0000 0.0000 0.3337
Ta 0.0000 0.0000 0.6663
Pd 0.0000 0.5000 0.1696
Pd 0.0000 0.5000 0.5000
Pd 0.0000 0.5000 0.8304
Pd 0.5000 0.0000 0.1696
Pd 0.5000 0.0000 0.5000
Pd 0.5000 0.0000 0.8304
Pd 0.5000 0.5000 0.0000
Pd 0.5000 0.5000 0.3351
Pd 0.5000 0.5000 0.6649

The following is a theoretical XRD peak list of Er8Ni3Sb2. It was derived from a PBE-relaxed structure, using CuKα.
Intensities are scaled so that the largest is 100.

Peak list (8 most intense, 10 to 90 degrees two-theta, sorted by position)
| two_theta | I/Imax |
| --- | --- |
| 11.48 | 33.8 |
| 28.01 | 35.2 |
| 28.53 | 30.7 |
| 29.65 | 49.8 |
| 31.98 | 100.0 |
| 32.76 | 63.4 |
| 34.95 | 98.1 |
| 49.16 | 33.3 |

Atomic structure:
Cell: 8.6748 8.6748 6.4987 Å, 101.34 101.34 48.99°
Atoms (fractional coordinates):
Er 0.0723 0.0723 0.3500
Er 0.1497 0.6384 0.1327
Er 0.3616 0.8503 0.8673
Er 0.3740 0.3740 0.6329
Er 0.6260 0.6260 0.3671
Er 0.6384 0.1497 0.1327
Er 0.8503 0.3616 0.8673
Er 0.9277 0.9277 0.6500
Ni 0.3131 0.6869 0.5000
Ni 0.5000 0.5000 0.0000
Ni 0.6869 0.3131 0.5000
Sb 0.2371 0.2371 0.1874
Sb 0.7629 0.7629 0.8126

The following is a theoretical XRD peak list of Ac8LaPt5. It was derived from a PBE-relaxed structure, using CuKα.
Intensities are scaled so that the largest is 100.

Peak list (8 most intense, 10 to 90 degrees two-theta, sorted by position)
| two_theta | I/Imax |
| --- | --- |
| 25.98 | 100.0 |
| 26.37 | 49.0 |
| 27.44 | 52.6 |
| 30.73 | 33.6 |
| 32.81 | 65.7 |
| 36.99 | 38.5 |
| 40.92 | 40.7 |
| 41.47 | 73.6 |

Atomic structure:
Cell: 11.4818 11.4818 10.7745 Å, 102.78 102.78 22.15°
Atoms (fractional coordinates):
Ac 0.0725 0.0725 0.1606
Ac 0.2652 0.2652 0.8449
Ac 0.3298 0.3298 0.5039
Ac 0.4115 0.4115 0.1758
Ac 0.5885 0.5885 0.8242
Ac 0.6702 0.6702 0.4961
Ac 0.7348 0.7348 0.1551
Ac 0.9275 0.9275 0.8394
La 0.0000 0.0000 0.5000
Pt 0.1617 0.1617 0.9832
Pt 0.2026 0.2026 0.3323
Pt 0.5000 0.5000 0.0000
Pt 0.7974 0.7974 0.6677
Pt 0.8383 0.8383 0.0168

The following is a theoretical XRD peak list of LaTb4Pm2Nd2. It was derived from a PBE-relaxed structure, using CuKα.
Intensities are scaled so that the largest is 100.

Peak list (8 most intense, 10 to 90 degrees two-theta, sorted by position)
| two_theta | I/Imax |
| --- | --- |
| 30.15 | 100.0 |
| 34.91 | 33.9 |
| 35.03 | 16.8 |
| 50.24 | 24.2 |
| 50.32 | 12.0 |
| 59.64 | 14.4 |
| 59.77 | 21.5 |
| 62.69 | 12.4 |

Atomic structure:
Cell: 8.1333 8.1333 8.1047 Å, 107.56 107.56 36.80°
Atoms (fractional coordinates):
La 0.0000 0.0000 0.0000
Tb 0.2221 0.2221 0.3351
Tb 0.4430 0.4430 0.6648
Tb 0.5570 0.5570 0.3352
Tb 0.7779 0.7779 0.6649
Pm 0.3323 0.3323 0.9999
Pm 0.6677 0.6677 0.0001
Nd 0.1112 0.1112 0.6636
Nd 0.8888 0.8888 0.3364